(1)
Structure and theoretical X-ray powder pattern of GdHf2N (a PBE-relaxed structure; λ = 1.5418 Å (Cu Kα)).
Neutral-atom scattering factors, no anomalous dispersion.

Cell lengths 3.2263, 3.2263, 26.3998 Å; angles 90.00, 90.00, 120.00 degrees
Space group R-3m (No. 166, hexagonal axes)
One atom of each set of equivalent atoms:
Gd  0.0000  0.0000  0.0000 (multiplicity 3)
Hf  0.0000  0.0000  0.1198 (multiplicity 6)
N  0.0000  0.0000  0.5000 (multiplicity 3)

Principal peaks in the range 2θ = 10–80°, in order of falling intensity:
(hkl)  2θ (°)  I (rel.)
1 0 1  32.22  100
0 1 8  42.39  77
0 0 9  30.47  50
1 0 7  40.17  37
1 1 0  57.10  34
1 1 9  66.10  34
0 1 2  32.76  22
0 0 3  10.05  22
1 0 16  65.72  18
1 0 10  47.38  17
0 1 17  69.22  17
1 0 4  34.87  17

=====

(2)
Structure and theoretical X-ray powder pattern of GdHfN (a PBE-relaxed structure; λ = 1.5418 Å (Cu Kα)).
Neutral-atom scattering factors, no anomalous dispersion.

Cell lengths 3.3461, 3.3461, 5.7027 Å; angles 90.00, 90.00, 120.00 degrees
Space group P3m1 (No. 156)
One atom of each set of equivalent atoms:
Gd  0.0000  0.0000  0.0000 (multiplicity 1)
Hf  0.6667  0.3333  0.4630 (multiplicity 1)
N  0.3333  0.6667  0.2683 (multiplicity 1)

Principal peaks in the range 2θ = 10–80°, in order of falling intensity:
(hkl)  2θ (°)  I (rel.)
1 0 1  34.72  100
0 0 2  31.37  26
1 0 3  58.03  22
0 1 2  44.58  21
1 1 2  64.59  20
1 1 0  54.88  20
1 0 0  30.86  20
0 2 1  66.59  15
0 1 4  74.12  5
0 0 1  15.54  5
2 0 2  73.29  5
0 0 4  65.47  3

=====

(3)
Structure and theoretical X-ray powder pattern of GdHfNi4 (a PBE-relaxed structure; λ = 1.5418 Å (Cu Kα)).
Neutral-atom scattering factors, no anomalous dispersion.

Cell lengths 7.068, 7.068, 7.068 Å; angles 90.00, 90.00, 90.00 degrees
Space group F-43m (No. 216)
One atom of each set of equivalent atoms:
Gd  0.000  0.000  0.000 (multiplicity 4)
Hf  0.250  0.250  0.250 (multiplicity 4)
Ni  0.124  0.124  0.624 (multiplicity 16)

Principal peaks in the range 2θ = 10–80°, in order of falling intensity:
(hkl)  2θ (°)  I (rel.)
3 1 1  42.42  100
2 2 0  35.94  65
3 3 3  69.05  30
4 2 2  64.60  24
4 4 0  76.20  22
2 2 2  44.40  15
1 1 1  21.78  15
3 3 1  56.78  4
4 0 0  51.74  1

=====

(4)
Structure and theoretical X-ray powder pattern of PrGdHf (a PBE-relaxed structure; λ = 1.5418 Å (Cu Kα)).
Neutral-atom scattering factors, no anomalous dispersion.

Cell lengths 3.384, 3.384, 15.468 Å; angles 90.00, 90.00, 90.00 degrees
Space group I4mm (No. 107)
One atom of each set of equivalent atoms:
Pr  0.000  0.000  0.000 (multiplicity 2)
Gd  0.000  0.000  0.306 (multiplicity 2)
Hf  0.000  0.000  0.659 (multiplicity 2)

Principal peaks in the range 2θ = 10–80°, in order of falling intensity:
(hkl)  2θ (°)  I (rel.)
1 0 3  31.63  100
1 1 0  37.59  33
2 1 3  64.14  26
1 1 6  52.16  22
0 0 6  34.80  17
2 0 0  54.22  11
1 0 9  60.41  11
2 0 6  66.05  11
1 0 5  39.46  7
0 0 2  11.44  7
1 0 11  72.83  5
1 1 8  61.68  4

=====

(5)
Structure and theoretical X-ray powder pattern of Gd2HfRh (a PBE-relaxed structure; λ = 1.5418 Å (Cu Kα)).
Neutral-atom scattering factors, no anomalous dispersion.

Cell lengths 3.485, 3.485, 7.860 Å; angles 90.00, 90.00, 90.00 degrees
Space group P4/mmm (No. 123)
One atom of each set of equivalent atoms:
Gd  0.000  0.000  0.213 (multiplicity 2)
Hf  0.500  0.500  0.500 (multiplicity 1)
Rh  0.500  0.500  0.000 (multiplicity 1)

Principal peaks in the range 2θ = 10–80°, in order of falling intensity:
(hkl)  2θ (°)  I (rel.)
1 0 2  34.39  100
1 1 0  36.46  48
2 1 2  64.30  33
2 0 0  52.52  17
1 1 4  60.23  14
1 0 1  28.01  11
2 0 4  72.50  8
1 1 3  50.87  8
0 0 4  46.20  8
1 0 5  65.09  6
0 0 3  34.22  6
2 2 0  77.46  5

=====

(6)
Structure and theoretical X-ray powder pattern of GdHf2S (a PBE-relaxed structure; λ = 1.5418 Å (Cu Kα)).
Neutral-atom scattering factors, no anomalous dispersion.

Cell lengths 3.4598, 3.4598, 27.3864 Å; angles 90.00, 90.00, 120.00 degrees
Space group R-3m (No. 166, hexagonal axes)
One atom of each set of equivalent atoms:
Gd  0.0000  0.0000  0.0000 (multiplicity 3)
Hf  0.0000  0.0000  0.1119 (multiplicity 6)
S  0.0000  0.0000  0.5000 (multiplicity 3)

Principal peaks in the range 2θ = 10–80°, in order of falling intensity:
(hkl)  2θ (°)  I (rel.)
1 0 1  30.00  100
0 1 8  39.99  66
0 0 9  29.35  52
1 0 10  44.84  44
1 1 0  52.93  39
1 1 9  61.68  39
0 1 2  30.54  38
0 1 5  34.11  20
1 0 7  37.82  14
2 0 8  68.35  14
0 2 1  62.04  13
0 1 17  65.82  12

=====

Q: Which formula does entry 3 have?
A: GdHfNi4

=====

Q: Number 2 is which compound?
A: GdHfN